Diffraction record for Ba2AgAuN2. The powder X-ray diffraction pattern is computed, not measured: it uses DFT lattice parameters and positions (PBE) and Cu Kα (weighted mean of Kα1 and Kα2).

Main lines, by angle (2θ = 10–80°):
24.85°, I 74
27.04°, I 522
32.80°, I 1000
40.80°, I 179
42.91°, I 147
43.75°, I 417
52.19°, I 90
55.74°, I 216
62.95°, I 277
70.40°, I 75
72.21°, I 104
73.43°, I 191

```
data_Ba2AgAuN2
_chemical_formula_sum 'Ba2 Ag1 Au1 N2'
_cell_length_a 4.1381
_cell_length_b 4.1381
_cell_length_c 8.4313
_cell_angle_alpha 90.00
_cell_angle_beta 90.00
_cell_angle_gamma 120.00
_space_group_name_H-M_alt 'P -6 m 2'
_space_group_IT_number 187
_space_group_name_Hall 'P -6 2'
loop_
_atom_site_label
_atom_site_fract_x
_atom_site_fract_y
_atom_site_fract_z
_atom_site_occupancy
Ba1 0.0000 0.0000 0.2484 1
Ag1 0.6667 0.3333 0.0000 1
Au1 0.3333 0.6667 0.5000 1
N1 0.3333 0.6667 0.0000 1
N2 0.6667 0.3333 0.5000 1
```